# 1
Simulated powder X-ray diffraction pattern
Compound: TlFe2Te
Radiation: CuKα
Structure: a DFT-relaxed cell (PBE, Alexandria)
Lines closer than 0.1° are merged.

Unit cell a=3.180 b=3.224 c=7.909 alpha=90.00 beta=90.00 gamma=90.00
Atoms (fractional coordinates):
1 Tl 0.000 0.000 0.000
2 Fe 0.000 0.000 0.613
3 Fe 0.500 0.500 0.761
4 Te 0.500 0.500 0.419

Main lines, by angle (2θ from 10° to 90°):
2θ 22.48, rel. 54
2θ 29.93, rel. 75
2θ 30.29, rel. 73
2θ 35.94, rel. 48
2θ 36.25, rel. 47
2θ 39.82, rel. 100
2θ 44.39, rel. 43
2θ 44.65, rel. 42
2θ 46.21, rel. 34
2θ 53.34, rel. 28

=====

# 2
Simulated powder X-ray diffraction pattern
Compound: SrCaDy4Be2O10
Radiation: CuKα
Structure: a DFT-relaxed cell (PBE, Alexandria)
Lines closer than 0.1° are merged.

Unit cell a=6.399 b=7.039 c=9.351 alpha=90.00 beta=90.36 gamma=90.00
Atoms (fractional coordinates):
1 Sr 0.080 0.000 0.325
2 Sr 0.920 0.500 0.675
3 Ca 0.416 0.994 0.823
4 Ca 0.584 0.494 0.177
5 Dy 0.073 0.458 0.320
6 Dy 0.096 0.733 0.020
7 Dy 0.406 0.732 0.521
8 Dy 0.435 0.443 0.832
9 Dy 0.565 0.943 0.168
10 Dy 0.594 0.232 0.479
11 Dy 0.904 0.233 0.980
12 Dy 0.927 0.958 0.680
13 Be 0.198 0.228 0.605
14 Be 0.310 0.232 0.100
15 Be 0.690 0.732 0.900
16 Be 0.802 0.728 0.395
17 O 0.022 0.730 0.489
18 O 0.139 0.218 0.782
19 O 0.158 0.749 0.782
20 O 0.184 0.424 0.062
21 O 0.201 0.031 0.070
22 O 0.315 0.034 0.568
23 O 0.325 0.425 0.583
24 O 0.337 0.721 0.276
25 O 0.367 0.243 0.278
26 O 0.474 0.726 0.991
27 O 0.526 0.226 0.009
28 O 0.633 0.743 0.722
29 O 0.663 0.221 0.724
30 O 0.675 0.925 0.417
31 O 0.685 0.534 0.432
32 O 0.799 0.531 0.930
33 O 0.816 0.924 0.938
34 O 0.842 0.249 0.218
35 O 0.861 0.718 0.218
36 O 0.978 0.230 0.511

Main lines, by angle (2θ from 10° to 90°):
2θ 21.04, rel. 32
2θ 30.53, rel. 81
2θ 31.84, rel. 100
2θ 32.02, rel. 45
2θ 32.13, rel. 21
2θ 32.24, rel. 24
2θ 39.26, rel. 32
2θ 40.99, rel. 22
2θ 46.65, rel. 24
2θ 58.45, rel. 23

=====

# 3
Simulated powder X-ray diffraction pattern
Compound: BaTl2Cu2
Radiation: CuKα
Structure: a DFT-relaxed cell (PBE, Alexandria)
Lines closer than 0.1° are merged.

Unit cell a=6.367 b=6.367 c=6.367 alpha=134.01 beta=134.01 gamma=67.07
Atoms (fractional coordinates):
1 Ba 0.000 0.000 0.000
2 Tl 0.353 0.353 0.000
3 Tl 0.647 0.647 0.000
4 Cu 0.250 0.750 0.500
5 Cu 0.750 0.250 0.500

Main lines, by angle (2θ from 10° to 90°):
2θ 25.32, rel. 50
2θ 31.02, rel. 100
2θ 36.11, rel. 59
2θ 42.68, rel. 20
2θ 48.33, rel. 59
2θ 52.00, rel. 21
2θ 58.39, rel. 21
2θ 61.79, rel. 14
2θ 73.71, rel. 17
2θ 81.96, rel. 16